[1]
Diffraction record for Na3U3VN8. The XRD peak list is theoretical, not measured: it uses DFT lattice parameters and positions (PBE) and Cu Kα, 1.54184 Å.

Largest 10 diffraction maxima, by angle, 2θ from 10° to 80°:
2θ = 15.60°, rel. 100, hkl 0 0 3
2θ = 31.12°, rel. 47, hkl 0 2 1
2θ = 31.50°, rel. 20, hkl 0 0 6
2θ = 32.46°, rel. 51, hkl 2 0 2
2θ = 37.38°, rel. 56, hkl 0 2 4
2θ = 40.73°, rel. 20, hkl 2 0 5
2θ = 48.73°, rel. 19, hkl 0 2 7
2θ = 53.26°, rel. 18, hkl 2 0 8
2θ = 54.52°, rel. 19, hkl 2 2 0
2θ = 57.07°, rel. 21, hkl 2 2 3

Atomic structure:
Cell: 6.7329 6.7329 17.0397 Å, 90.00 90.00 120.00°
Space group R-3m (No. 166, hexagonal axes)
Asymmetric unit:
Na (0.0000, 0.5000, 0.0000)
U (0.0000, 0.5000, 0.5000)
V (0.0000, 0.0000, 0.5000)
N (0.0000, 0.0000, 0.2308)
N (0.0082, 0.5041, 0.2238)

=====

[2]
Diffraction record for Na3YN6. The XRD peak list is theoretical, not measured: it uses DFT lattice parameters and positions (PBE) and Cu Kα, 1.54184 Å.

Largest 10 diffraction maxima, by angle, 2θ from 10° to 80°:
2θ = 15.58°, rel. 100, hkl 1 1 1
2θ = 16.00°, rel. 42, hkl 0 0 4
2θ = 19.22°, rel. 53, hkl 0 2 2
2θ = 25.16°, rel. 21, hkl 1 1 5
2θ = 25.95°, rel. 20, hkl 2 0 2
2θ = 34.51°, rel. 13, hkl 2 2 4
2θ = 34.75°, rel. 66, hkl 2 0 6
2θ = 35.33°, rel. 31, hkl 0 4 0
2θ = 44.95°, rel. 14, hkl 2 2 8
2θ = 50.40°, rel. 38, hkl 2 4 6

Atomic structure:
Cell: 7.2223 10.1616 22.1520 Å, 90.00 90.00 90.00°
Space group Fddd (No. 70, origin choice 2)
Asymmetric unit:
Na (0.1250, 0.1250, 0.1250)
Na (0.1250, 0.1250, 0.4616)
Y (0.1250, 0.1250, 0.6250)
N (0.0976, 0.3578, 0.8016)
N (0.1250, 0.3585, 0.6250)

=====

[3]
Diffraction record for Nb3N5. The XRD peak list is theoretical, not measured: it uses DFT lattice parameters and positions (PBE) and Cu Kα, 1.54184 Å.

Largest 10 diffraction maxima, by angle, 2θ from 10° to 80°:
2θ = 17.03°, rel. 51, hkl 0 2 0
2θ = 24.28°, rel. 100, hkl 1 1 0
2θ = 30.97°, rel. 88, hkl 0 2 3
2θ = 34.51°, rel. 58, hkl 1 3 0
2θ = 35.63°, rel. 87, hkl 1 1 3
2θ = 38.68°, rel. 44, hkl 0 4 2
2θ = 46.37°, rel. 32, hkl 2 0 0
2θ = 52.79°, rel. 39, hkl 0 0 6
2θ = 56.66°, rel. 34, hkl 1 3 5
2θ = 56.81°, rel. 30, hkl 2 2 3

Atomic structure:
Cell: 3.9161 10.4115 10.4107 Å, 90.00 90.00 90.00°
Space group Cmcm (No. 63)
Asymmetric unit:
Nb (0.0000, 0.1305, 0.0590)
Nb (0.0000, 0.2036, 0.7500)
N (0.0000, 0.0470, 0.6202)
N (0.0000, 0.2352, 0.2500)
N (0.0000, 0.3093, 0.5744)

=====

[4]
Diffraction record for Nb16N9. The XRD peak list is theoretical, not measured: it uses DFT lattice parameters and positions (PBE) and Cu Kα, 1.54184 Å.

Largest 10 diffraction maxima, by angle, 2θ from 10° to 80°:
2θ = 35.51°, rel. 100, hkl 2 2 0
2θ = 40.60°, rel. 23, hkl 0 4 0
2θ = 41.54°, rel. 44, hkl 2 0 4
2θ = 59.49°, rel. 29, hkl 2 4 4
2θ = 60.11°, rel. 7, hkl 0 0 8
2θ = 70.58°, rel. 13, hkl 2 6 0
2θ = 71.82°, rel. 13, hkl 2 2 8
2θ = 71.95°, rel. 12, hkl 4 2 4
2θ = 75.07°, rel. 7, hkl 0 4 8
2θ = 75.25°, rel. 7, hkl 4 4 0

Atomic structure:
Cell: 6.1395 8.8875 12.3144 Å, 90.00 90.00 90.00°
Space group Immm (No. 71)
Asymmetric unit:
Nb (0.0000, 0.2442, 0.0000)
Nb (0.0000, 0.2487, 0.2517)
Nb (0.0000, 0.2517, 0.5000)
Nb (0.2426, 0.5000, 0.1218)
Nb (0.2464, 0.5000, 0.3727)
N (0.0000, 0.0000, 0.0000)
N (0.2504, 0.2493, 0.3746)

=====

[5]
Diffraction record for Nb5N6. The XRD peak list is theoretical, not measured: it uses DFT lattice parameters and positions (PBE) and Cu Kα, 1.54184 Å.

Largest 10 diffraction maxima, by angle, 2θ from 10° to 80°:
2θ = 19.50°, rel. 21, hkl 1 0 0
2θ = 25.92°, rel. 29, hkl 1 0 2
2θ = 34.22°, rel. 32, hkl 0 0 4
2θ = 35.20°, rel. 45, hkl 1 1 1
2θ = 38.30°, rel. 100, hkl 1 1 2
2θ = 43.06°, rel. 56, hkl 1 1 3
2θ = 56.11°, rel. 23, hkl 1 1 5
2θ = 61.05°, rel. 32, hkl 3 0 0
2θ = 63.99°, rel. 22, hkl 1 1 6
2θ = 71.89°, rel. 23, hkl 3 0 4

Atomic structure:
Cell: 5.2575 5.2575 10.4825 Å, 90.00 90.00 120.00°
Space group P6_3/mcm (No. 193)
Asymmetric unit:
Nb (0.0000, 0.3247, 0.2500)
Nb (0.3333, 0.6667, 0.0000)
N (0.0000, 0.3390, 0.6227)

=====

[6]
Diffraction record for Nb3N. The XRD peak list is theoretical, not measured: it uses DFT lattice parameters and positions (PBE) and Cu Kα, 1.54184 Å.

Largest 10 diffraction maxima, by angle, 2θ from 10° to 80°:
2θ = 31.89°, rel. 34, hkl 1 1 2
2θ = 34.08°, rel. 56, hkl 2 0 1
2θ = 36.50°, rel. 75, hkl 1 2 0
2θ = 37.25°, rel. 100, hkl 0 1 3
2θ = 37.92°, rel. 22, hkl 2 1 1
2θ = 38.22°, rel. 56, hkl 1 2 1
2θ = 40.74°, rel. 40, hkl 1 1 3
2θ = 42.78°, rel. 51, hkl 2 1 2
2θ = 63.76°, rel. 28, hkl 1 3 3
2θ = 69.71°, rel. 25, hkl 4 1 0

Atomic structure:
Cell: 5.5664 5.4900 8.0637 Å, 90.00 90.00 90.00°
Space group Pna2_1 (No. 33)
Asymmetric unit:
Nb (0.0725, 0.1343, 0.0000)
Nb (0.1637, 0.6572, 0.1764)
Nb (0.1646, 0.6572, 0.8235)
N (0.9995, 0.0000, 0.2499)

=====

[7]
Diffraction record for Nb16N13. The XRD peak list is theoretical, not measured: it uses DFT lattice parameters and positions (PBE) and Cu Kα, 1.54184 Å.

Largest 10 diffraction maxima, by angle, 2θ from 10° to 80°:
2θ = 35.22°, rel. 100, hkl 2 2 0
2θ = 36.87°, rel. 1, hkl 1 3 2
2θ = 40.71°, rel. 52, hkl 2 0 4
2θ = 41.24°, rel. 25, hkl 0 4 0
2θ = 56.09°, rel. 1, hkl 3 3 2
2θ = 58.94°, rel. 16, hkl 4 0 0
2θ = 59.34°, rel. 32, hkl 2 4 4
2θ = 70.55°, rel. 26, hkl 4 2 4
2θ = 71.28°, rel. 12, hkl 2 6 0
2θ = 74.46°, rel. 15, hkl 4 4 0

Atomic structure:
Cell: 6.2680 8.7566 12.5360 Å, 90.00 90.00 90.00°
Space group Immm (No. 71)
Asymmetric unit:
Nb (0.0000, 0.2393, 0.2496)
Nb (0.0000, 0.2498, 0.0000)
Nb (0.0000, 0.2563, 0.5000)
Nb (0.2393, 0.0000, 0.3700)
Nb (0.2501, 0.0000, 0.1263)
N (0.0000, 0.0000, 0.0000)
N (0.0000, 0.0000, 0.5000)
N (0.0000, 0.5000, 0.0000)
N (0.0000, 0.5000, 0.2502)
N (0.2505, 0.2496, 0.1255)

=====

[8]
Diffraction record for Nb5N. The XRD peak list is theoretical, not measured: it uses DFT lattice parameters and positions (PBE) and Cu Kα, 1.54184 Å.

Largest 10 diffraction maxima, by angle, 2θ from 10° to 80°:
2θ = 33.73°, rel. 45, hkl 0 2 1
2θ = 35.72°, rel. 64, hkl 2 0 0
2θ = 36.82°, rel. 100, hkl 1 5 0
2θ = 41.05°, rel. 92, hkl 1 3 1
2θ = 49.94°, rel. 29, hkl 2 2 1
2θ = 62.24°, rel. 16, hkl 0 8 1
2θ = 64.90°, rel. 29, hkl 0 0 2
2θ = 67.79°, rel. 20, hkl 3 3 1
2θ = 73.88°, rel. 19, hkl 2 8 1
2θ = 77.02°, rel. 22, hkl 1 5 2

Atomic structure:
Cell: 5.0279 13.9617 2.8732 Å, 90.00 90.00 90.00°
Space group Cmmm (No. 65)
Asymmetric unit:
Nb (0.0000, 0.0000, 0.0000)
Nb (0.0000, 0.1973, 0.5000)
Nb (0.0000, 0.3900, 0.0000)
N (0.0000, 0.5000, 0.5000)